# Cd2CoAs
Theoretical powder diffractogram, λ = 1.5418 Å (Cu Kα). Input: a PBE-relaxed structure.
Lines closer than 0.1° are merged.

Structure:
Lattice parameters (Å, degrees): 6.449 6.449 6.449 153.85 138.74 49.50
Element x y z (fractional)
Cd1 0.000 0.000 0.000
Cd2 0.678 0.178 0.500
Co1 0.476 0.476 0.000
As1 0.322 0.822 0.500

The 10 most intense peaks (2θ from 15° to 90°), by intensity:
d (Å)	intensity
2.264	100
2.962	75
2.272	39
1.881	28
2.831	22
1.952	19
1.258	16
1.310	16
1.481	15
1.827	14